Diffraction record for Fe4C. The X-ray diffraction stick pattern is theoretical, not measured: it uses a cell relaxed with PBE and CuKα.

Structural model:
```
data_Fe4C
_chemical_formula_sum 'Fe8 C2'
_space_group_name_H-M_alt 'P 1 21/m 1'
_space_group_IT_number 11
_space_group_name_Hall '-P 2yb'
_cell_length_a 5.9934
_cell_length_b 2.6683
_cell_length_c 6.2967
_cell_angle_alpha 90.00
_cell_angle_beta 100.98
_cell_angle_gamma 90.00
loop_
_atom_site_label
_atom_site_type_symbol
_atom_site_fract_x
_atom_site_fract_y
_atom_site_fract_z
Fe1 Fe 0.0210 0.2500 0.1827
Fe2 Fe 0.1824 0.2500 0.5631
Fe3 Fe 0.3266 0.2500 0.9654
Fe4 Fe 0.3960 0.7500 0.3200
C1 C 0.3753 0.7500 0.7456
```

Principal peaks in the range 10 to 90 degrees two-theta, most intense first:
h k l, 2theta, I (rel.)
2 0 2, 46.4, 100
1 0 -3, 43.7, 57
3 0 -1, 45.8, 39
1 1 2, 49.5, 36
1 1 1, 41.0, 33
0 1 2, 44.9, 25
1 1 0, 37.0, 20
2 1 -2, 51.6, 17